Simulated powder diffraction line list of Sm5PuHg6 for copper Kα, from a DFT-relaxed cell (PBE, Alexandria).
Intensities are scaled so that the largest is 100.

Lattice parameters (Å, degrees): 9.265 9.265 9.265 146.48 131.54 60.21
Atoms (fractional coordinates):
1 Sm 0.000 0.000 0.000
2 Sm 0.170 0.670 0.500
3 Sm 0.340 0.340 0.000
4 Sm 0.660 0.660 0.000
5 Sm 0.830 0.330 0.500
6 Pu 0.500 0.000 0.500
7 Hg 0.077 0.832 0.245
8 Hg 0.239 0.500 0.739
9 Hg 0.413 0.168 0.245
10 Hg 0.587 0.832 0.755
11 Hg 0.761 0.500 0.261
12 Hg 0.923 0.168 0.755

Main lines, sorted by position (2θ = 10–80°):
| 2θ/deg | I (rel.) |
| --- | --- |
| 23.55 | 1 |
| 33.43 | 100 |
| 33.54 | 50 |
| 47.84 | 9 |
| 48.17 | 18 |
| 59.69 | 19 |
| 59.90 | 38 |
| 70.24 | 12 |
| 70.49 | 6 |
| 79.81 | 8 |